For Li7Fe5O12, a crystal structure in Alexandria, relaxed with GGA+U gives the theoretical powder diffraction line list in this record (Cu Ka).
Intensities are scaled so that the largest is 1000.

Crystal structure
Unit cell a=5.0352 b=8.6325 c=9.6975 alpha=90.00 beta=99.25 gamma=90.00
Space group C2 (No. 5)
Unique sites:
Li (0.0000, 0.0000, 0.0000)
Li (0.2411, 0.0012, 0.7487)
Li (0.2420, 0.1661, 0.2501)
Li (0.2450, 0.3344, 0.7474)
Fe (0.0000, 0.1674, 0.5000)
Fe (0.0000, 0.3289, 0.0000)
Fe (0.0000, 0.5009, 0.5000)
Fe (0.0000, 0.6651, 0.0000)
Fe (0.0000, 0.8338, 0.5000)
O (0.0998, 0.4992, 0.8869)
O (0.1228, 0.1800, 0.8829)
O (0.1322, 0.0003, 0.3888)
O (0.1337, 0.3345, 0.3911)
O (0.1336, 0.6672, 0.3906)
O (0.1404, 0.8200, 0.8892)

Main lines, sorted by position (2θ from 10° to 80°):
- hkl 0 0 2, d 4.786, intensity 1000
- hkl 0 2 0, d 4.310, intensity 97
- hkl 2 0 0, d 2.485, intensity 147
- hkl 1 3 -1, d 2.459, intensity 243
- hkl 2 0 -2, d 2.365, intensity 96
- hkl 2 0 2, d 2.073, intensity 291
- hkl 1 3 -3, d 2.044, intensity 550
- hkl 1 3 -5, d 1.580, intensity 96
- hkl 1 3 5, d 1.462, intensity 147
- hkl 3 3 -1, d 1.450, intensity 149